Entry 1:
For SmMn6Sn6, a structure optimized by DFT (GGA-PBE) gives the simulated PXRD pattern in this record (Cu Ka).
No peak broadening, texture or thermal motion is included.

Crystal structure
```
data_SmMn6Sn6
_chemical_formula_sum 'Sm6 Mn36 Sn36'
_cell_length_a 5.493
_cell_length_b 9.048
_cell_length_c 28.443
_cell_angle_alpha 90.00
_cell_angle_beta 90.00
_cell_angle_gamma 90.00
_space_group_name_H-M_alt 'I m m m'
_space_group_IT_number 71
_space_group_name_Hall '-I 2 2'
loop_
_atom_site_label
_atom_site_type_symbol
_atom_site_fract_x
_atom_site_fract_y
_atom_site_fract_z
Sm1 Sm 0.000 0.000 0.000
Sm2 Sm 0.000 0.500 0.331
Mn1 Mn 0.000 0.250 0.167
Mn2 Mn 0.000 0.251 0.500
Mn3 Mn 0.249 0.249 0.083
Mn4 Mn 0.250 0.250 0.250
Sn1 Sn 0.000 0.000 0.112
Sn2 Sn 0.000 0.000 0.224
Sn3 Sn 0.000 0.000 0.445
Sn4 Sn 0.000 0.166 0.334
Sn5 Sn 0.000 0.334 0.000
Sn6 Sn 0.000 0.500 0.110
Sn7 Sn 0.000 0.500 0.220
Sn8 Sn 0.000 0.500 0.444
```

Principal peaks in the range 10° ≤ 2θ ≤ 80°, low angle first:
| index | 2θ/deg | I/Imax |
| --- | --- | --- |
| 2 0 0 | 32.66 | 100 |
| 2 0 6 | 37.86 | 18 |
| 2 2 0 | 38.39 | 87 |
| 0 4 0 | 39.85 | 24 |
| 0 2 12 | 43.02 | 48 |
| 1 4 3 | 44.36 | 16 |
| 2 0 18 | 68.50 | 21 |
| 2 6 0 | 71.39 | 36 |

Entry 2:
For SmMn6Sn6, a structure optimized by DFT (GGA-PBE) gives the simulated PXRD pattern in this record (Cu Ka).
No peak broadening, texture or thermal motion is included.

Crystal structure
```
data_SmMn6Sn6
_chemical_formula_sum 'Sm1 Mn6 Sn6'
_cell_length_a 5.4709
_cell_length_b 5.4709
_cell_length_c 9.0485
_cell_angle_alpha 90.00
_cell_angle_beta 90.00
_cell_angle_gamma 120.00
_space_group_name_H-M_alt 'P 6/m m m'
_space_group_IT_number 191
_space_group_name_Hall '-P 6 2'
loop_
_atom_site_label
_atom_site_type_symbol
_atom_site_fract_x
_atom_site_fract_y
_atom_site_fract_z
Sm1 Sm 0.0000 0.0000 0.0000
Mn1 Mn 0.0000 0.5000 0.2485
Sn1 Sn 0.0000 0.0000 0.3346
Sn2 Sn 0.3333 0.6667 0.0000
Sn3 Sn 0.3333 0.6667 0.5000
```

Principal peaks in the range 10° ≤ 2θ ≤ 80°, low angle first:
| index | 2θ/deg | I/Imax |
| --- | --- | --- |
| 1 1 0 | 32.74 | 100 |
| 1 0 3 | 35.27 | 44 |
| 2 0 0 | 37.98 | 27 |
| 1 1 2 | 38.46 | 88 |
| 0 0 4 | 39.85 | 24 |
| 2 0 2 | 43.10 | 47 |
| 2 2 0 | 68.62 | 30 |
| 1 1 6 | 71.43 | 36 |

Entry 3:
For Sm3Mn4Sn4, a structure optimized by DFT (GGA-PBE) gives the simulated PXRD pattern in this record (Cu Ka).
No peak broadening, texture or thermal motion is included.

Crystal structure
```
data_Sm3Mn4Sn4
_chemical_formula_sum 'Sm6 Mn8 Sn8'
_cell_length_a 4.574
_cell_length_b 7.381
_cell_length_c 14.986
_cell_angle_alpha 90.00
_cell_angle_beta 90.00
_cell_angle_gamma 90.00
_space_group_name_H-M_alt 'I m m m'
_space_group_IT_number 71
_space_group_name_Hall '-I 2 2'
loop_
_atom_site_label
_atom_site_type_symbol
_atom_site_fract_x
_atom_site_fract_y
_atom_site_fract_z
Sm1 Sm 0.000 0.000 0.000
Sm2 Sm 0.000 0.500 0.127
Mn1 Mn 0.000 0.314 0.326
Sn1 Sn 0.000 0.000 0.216
Sn2 Sn 0.000 0.201 0.500
```

Principal peaks in the range 10° ≤ 2θ ≤ 80°, low angle first:
| index | 2θ/deg | I/Imax |
| --- | --- | --- |
| 1 2 1 | 31.72 | 100 |
| 0 1 5 | 32.24 | 31 |
| 1 1 4 | 33.21 | 97 |
| 2 0 0 | 39.40 | 40 |
| 0 3 3 | 40.89 | 21 |
| 1 2 5 | 43.65 | 20 |
| 2 1 5 | 51.78 | 16 |
| 1 5 4 | 71.76 | 20 |

Entry 4:
For MnSn3, a structure optimized by DFT (GGA-PBE) gives the simulated PXRD pattern in this record (Cu Ka).
No peak broadening, texture or thermal motion is included.

Crystal structure
```
data_MnSn3
_chemical_formula_sum 'Mn2 Sn6'
_cell_length_a 4.526
_cell_length_b 4.526
_cell_length_c 9.579
_cell_angle_alpha 90.00
_cell_angle_beta 90.00
_cell_angle_gamma 90.00
_space_group_name_H-M_alt 'I 4/m m m'
_space_group_IT_number 139
_space_group_name_Hall '-I 4 2'
loop_
_atom_site_label
_atom_site_type_symbol
_atom_site_fract_x
_atom_site_fract_y
_atom_site_fract_z
Mn1 Mn 0.000 0.000 0.000
Sn1 Sn 0.000 0.000 0.500
Sn2 Sn 0.000 0.500 0.250
```

Principal peaks in the range 10° ≤ 2θ ≤ 80°, low angle first:
| index | 2θ/deg | I/Imax |
| --- | --- | --- |
| 1 1 2 | 33.68 | 100 |
| 0 0 4 | 37.56 | 19 |
| 2 0 0 | 39.83 | 32 |
| 2 0 4 | 55.90 | 24 |
| 2 2 0 | 57.60 | 11 |
| 1 1 6 | 65.31 | 15 |
| 3 1 2 | 68.40 | 26 |
| 2 2 4 | 70.81 | 12 |